# 1
Diffraction record for TaTlF6. The powder diffractogram is computed, not measured: it uses a PBE-relaxed structure and Cu Kα.
Lines closer than 0.1° are merged.

Most intense lines, 2θ = 10–80°, low angle first:
hkl 0 2 0, 22.46 deg, rel. 100.0
hkl 1 1 1, 25.65 deg, rel. 49.0
hkl 2 0 0, 25.78 deg, rel. 24.3
hkl 2 2 0, 34.46 deg, rel. 16.2
hkl 2 0 -2, 39.42 deg, rel. 17.3
hkl 0 2 2, 41.33 deg, rel. 18.9
hkl 1 3 1, 41.45 deg, rel. 18.6
hkl 3 1 -1, 41.59 deg, rel. 18.6
hkl 0 4 0, 45.84 deg, rel. 16.4
hkl 4 0 0, 53.04 deg, rel. 8.7
hkl 3 3 -1, 53.40 deg, rel. 10.3
hkl 3 1 -3, 62.02 deg, rel. 13.1

Atomic structure:
abc: 7.018 7.911 5.321
angles: 90.00 99.98 90.00
Space group C2/m (No. 12)
Unique sites:
Ta: 0.000 0.000 0.000 [2 per cell]
Tl: 0.000 0.500 0.500 [2 per cell]
F: 0.084 0.171 0.254 [8 per cell]
F: 0.244 0.500 0.085 [4 per cell]

=====

# 2
Diffraction record for Cd9Sn2Hg3. The powder diffractogram is computed, not measured: it uses a PBE-relaxed structure and Cu Kα.
Lines closer than 0.1° are merged.

Most intense lines, 2θ = 10–80°, low angle first:
hkl 1 2 0, 27.45 deg, rel. 37.9
hkl 1 2 1, 29.19 deg, rel. 68.7
hkl 1 2 -1, 30.56 deg, rel. 73.8
hkl -2 1 1, 33.61 deg, rel. 100.0
hkl 0 3 0, 35.13 deg, rel. 51.8
hkl 0 1 3, 36.31 deg, rel. 70.9
hkl 1 -2 2, 37.36 deg, rel. 89.0
hkl 2 0 2, 37.66 deg, rel. 67.9
hkl 1 0 -3, 38.29 deg, rel. 31.8
hkl 1 3 1, 39.22 deg, rel. 28.0
hkl -1 3 1, 39.40 deg, rel. 39.5
hkl 3 -3 1, 60.09 deg, rel. 37.1

Atomic structure:
abc: 6.085 7.678 7.683
angles: 86.07 89.72 89.64
Space group P-1 (No. 2)
Unique sites:
Cd: 0.000 0.000 0.000 [1 per cell]
Cd: 0.093 0.378 0.878 [2 per cell]
Cd: 0.093 0.878 0.378 [2 per cell]
Cd: 0.376 0.467 0.189 [2 per cell]
Cd: 0.377 0.189 0.468 [2 per cell]
Sn: 0.500 0.146 0.855 [2 per cell]
Hg: 0.000 0.500 0.500 [1 per cell]
Hg: 0.218 0.766 0.766 [2 per cell]

=====

# 3
Diffraction record for Li15Hg. The powder diffractogram is computed, not measured: it uses a PBE-relaxed structure and Cu Kα.
Lines closer than 0.1° are merged.

Most intense lines, 2θ = 10–80°, low angle first:
hkl 1 0 0, 17.03 deg, rel. 66.1
hkl 0 0 2, 18.06 deg, rel. 19.3
hkl 1 0 1, 19.29 deg, rel. 100.0
hkl 1 0 2, 24.92 deg, rel. 54.6
hkl 1 1 0, 29.72 deg, rel. 17.9
hkl 1 1 1, 31.11 deg, rel. 31.5
hkl 1 0 3, 32.30 deg, rel. 28.5
hkl 1 1 2, 34.99 deg, rel. 23.4
hkl 2 0 1, 35.68 deg, rel. 22.2
hkl 2 0 2, 39.16 deg, rel. 30.4
hkl 2 1 1, 47.09 deg, rel. 20.8
hkl 2 1 2, 49.92 deg, rel. 17.7

Atomic structure:
abc: 6.0127 6.0127 9.8226
angles: 90.00 90.00 120.00
Space group P-6m2 (No. 187)
Unique sites:
Li: 0.0000 0.0000 0.0000 [1 per cell]
Li: 0.0017 0.5008 0.5000 [3 per cell]
Li: 0.3279 0.1639 0.2583 [6 per cell]
Li: 0.3333 0.6667 0.2439 [2 per cell]
Li: 0.5023 0.0046 0.0000 [3 per cell]
Hg: 0.0000 0.0000 0.5000 [1 per cell]

=====

# 4
Diffraction record for Cd8Pt. The powder diffractogram is computed, not measured: it uses a PBE-relaxed structure and Cu Kα.
Lines closer than 0.1° are merged.

Most intense lines, 2θ = 10–80°, low angle first:
hkl 1 1 0, 10.88 deg, rel. 9.5
hkl 2 0 0, 15.41 deg, rel. 8.9
hkl 3 3 0, 33.04 deg, rel. 73.2
hkl 3 0 1, 38.32 deg, rel. 100.0
hkl 4 4 0, 44.55 deg, rel. 3.9
hkl 5 3 0, 46.01 deg, rel. 3.8
hkl 6 0 0, 47.43 deg, rel. 24.6
hkl 5 0 1, 50.15 deg, rel. 4.2
hkl 0 0 2, 62.54 deg, rel. 46.4
hkl 6 6 0, 69.33 deg, rel. 6.9
hkl 3 3 2, 72.55 deg, rel. 14.1
hkl 9 3 0, 78.97 deg, rel. 9.0

Atomic structure:
abc: 11.502 11.502 2.972
angles: 90.00 90.00 90.00
Space group I4/mmm (No. 139)
Unique sites:
Cd: 0.000 0.335 0.000 [8 per cell]
Cd: 0.153 0.153 0.500 [8 per cell]
Pt: 0.000 0.000 0.000 [2 per cell]

=====

# 5
Diffraction record for Tb2Er6S3. The powder diffractogram is computed, not measured: it uses a PBE-relaxed structure and Cu Kα.
Lines closer than 0.1° are merged.

Most intense lines, 2θ = 10–80°, low angle first:
hkl 1 0 7, 29.16 deg, rel. 22.7
hkl 0 0 24, 29.45 deg, rel. 44.0
hkl 0 1 8, 29.55 deg, rel. 75.8
hkl 1 0 10, 30.48 deg, rel. 21.7
hkl 0 1 11, 31.00 deg, rel. 100.0
hkl 0 1 14, 32.83 deg, rel. 39.2
hkl 1 0 16, 34.22 deg, rel. 55.9
hkl 1 0 19, 36.55 deg, rel. 35.8
hkl 1 0 28, 44.89 deg, rel. 16.3
hkl 1 1 0, 49.25 deg, rel. 67.2
hkl 0 1 35, 52.45 deg, rel. 38.7
hkl 1 1 24, 58.44 deg, rel. 50.7

Atomic structure:
abc: 3.7005 3.7005 72.7978
angles: 90.00 90.00 120.00
Space group R-3m (No. 166, hexagonal axes)
Unique sites:
Tb: 0.0000 0.0000 0.0581 [6 per cell]
Er: 0.0000 0.0000 0.1433 [6 per cell]
Er: 0.0000 0.0000 0.3143 [6 per cell]
Er: 0.0000 0.0000 0.4310 [6 per cell]
S: 0.0000 0.0000 0.2123 [6 per cell]
S: 0.0000 0.0000 0.5000 [3 per cell]

=====

# 6
Diffraction record for Tb5YSc5. The powder diffractogram is computed, not measured: it uses a PBE-relaxed structure and Cu Kα.
Lines closer than 0.1° are merged.

Most intense lines, 2θ = 10–80°, low angle first:
hkl 1 0 1, 19.35 deg, rel. 14.9
hkl 1 0 2, 23.69 deg, rel. 18.6
hkl 1 0 3, 29.61 deg, rel. 100.0
hkl 1 1 0, 30.86 deg, rel. 87.3
hkl 1 1 1, 31.88 deg, rel. 19.1
hkl 1 0 4, 36.43 deg, rel. 19.2
hkl 2 0 3, 43.30 deg, rel. 23.9
hkl 2 1 3, 54.11 deg, rel. 37.2
hkl 3 0 0, 54.89 deg, rel. 17.1
hkl 1 1 6, 58.34 deg, rel. 17.5
hkl 2 2 0, 64.31 deg, rel. 14.7
hkl 3 1 3, 72.36 deg, rel. 15.2

Atomic structure:
abc: 5.7944 5.7944 11.3264
angles: 90.00 90.00 120.00
Space group P-6m2 (No. 187)
Unique sites:
Tb: 0.0000 0.0000 0.0000 [1 per cell]
Tb: 0.3333 0.6667 0.3193 [2 per cell]
Tb: 0.6667 0.3333 0.1600 [2 per cell]
Y: 0.3333 0.6667 0.0000 [1 per cell]
Sc: 0.0000 0.0000 0.2694 [2 per cell]
Sc: 0.3286 0.1643 0.5000 [3 per cell]